[1]
La2Mg4IrPt: computed XRD peak list (λ = 1.5418 Å (Cu Kα)), based on a cell relaxed with GGA-PBE.

Peak list (12 most intense, 2θ from 15° to 90°, by angle)
two_theta, I_rel
17.02, 18
21.16, 80
22.59, 26
24.98, 38
31.15, 46
35.03, 100
36.11, 32
39.51, 23
42.52, 23
43.10, 17
46.85, 41
47.97, 19

Structure:
Cell: 8.3956 5.6261 5.6261 Å, 44.40 90.00 90.00°
Element x y z (fractional)
1 La 0.0000 0.0000 0.0000
2 La 0.5000 0.1254 0.1254
3 Mg 0.1923 0.7194 0.7194
4 Mg 0.3025 0.4082 0.4082
5 Mg 0.6975 0.4082 0.4082
6 Mg 0.8077 0.7194 0.7194
7 Ir 0.0000 0.2906 0.2906
8 Pt 0.5000 0.8369 0.8369

[2]
Tl3AuI6: computed XRD peak list (λ = 1.5418 Å (Cu Kα)), based on a cell relaxed with GGA-PBE.

Peak list (12 most intense, 2θ from 15° to 90°, by angle)
two_theta, I_rel
21.13, 58
25.96, 46
30.06, 100
37.04, 29
43.03, 75
48.41, 15
50.94, 21
53.38, 26
58.05, 17
62.48, 12
70.88, 33
78.87, 25

Structure:
Cell: 8.4083 8.4083 8.4083 Å, 60.00 60.00 60.00°
Element x y z (fractional)
1 Tl 0.0000 0.0000 0.0000
2 Tl 0.2500 0.2500 0.2500
3 Tl 0.7500 0.7500 0.7500
4 Au 0.5000 0.5000 0.5000
5 I 0.2590 0.2590 0.7410
6 I 0.2590 0.7410 0.2590
7 I 0.2590 0.7410 0.7410
8 I 0.7410 0.2590 0.2590
9 I 0.7410 0.2590 0.7410
10 I 0.7410 0.7410 0.2590

[3]
TbAgSO: computed XRD peak list (λ = 1.5418 Å (Cu Kα)), based on a cell relaxed with GGA-PBE.

Peak list (12 most intense, 2θ from 15° to 90°, by angle)
two_theta, I_rel
28.22, 55
28.74, 63
29.43, 55
30.59, 100
31.29, 33
31.93, 28
32.25, 55
32.88, 35
34.03, 99
39.69, 30
42.54, 32
49.90, 52

Structure:
Cell: 6.3079 7.3081 6.4090 Å, 90.00 100.01 90.00°
Element x y z (fractional)
1 Tb 0.0591 0.1224 0.2335
2 Tb 0.0591 0.3776 0.7335
3 Tb 0.9409 0.6224 0.2665
4 Tb 0.9409 0.8776 0.7665
5 Ag 0.4554 0.7051 0.5169
6 Ag 0.4554 0.7949 0.0169
7 Ag 0.5446 0.2051 0.9831
8 Ag 0.5446 0.2949 0.4831
9 S 0.3025 0.0722 0.6543
10 S 0.3025 0.4278 0.1543
11 S 0.6975 0.5722 0.8457
12 S 0.6975 0.9278 0.3457
13 O 0.0978 0.6593 0.5988
14 O 0.0978 0.8407 0.0988
15 O 0.9022 0.1593 0.9012
16 O 0.9022 0.3407 0.4012

Copy entry 2 word for word.
Tl3AuI6: computed XRD peak list (λ = 1.5418 Å (Cu Kα)), based on a cell relaxed with GGA-PBE.

Peak list (12 most intense, 2θ from 15° to 90°, by angle)
two_theta, I_rel
21.13, 58
25.96, 46
30.06, 100
37.04, 29
43.03, 75
48.41, 15
50.94, 21
53.38, 26
58.05, 17
62.48, 12
70.88, 33
78.87, 25

Structure:
Cell: 8.4083 8.4083 8.4083 Å, 60.00 60.00 60.00°
Element x y z (fractional)
1 Tl 0.0000 0.0000 0.0000
2 Tl 0.2500 0.2500 0.2500
3 Tl 0.7500 0.7500 0.7500
4 Au 0.5000 0.5000 0.5000
5 I 0.2590 0.2590 0.7410
6 I 0.2590 0.7410 0.2590
7 I 0.2590 0.7410 0.7410
8 I 0.7410 0.2590 0.2590
9 I 0.7410 0.2590 0.7410
10 I 0.7410 0.7410 0.2590